This entry pairs a crystal structure of Na4Dy3PtO8 with its theoretical X-ray diffraction stick pattern. Radiation: copper Kα. Structure: the PBE geometry in Alexandria.
Lines closer than 0.1° are merged.

Structure:
```
16
Lattice="5.910 -3.313 0.000 5.910 3.313 0.000 -3.728 0.000 5.619" Properties=species:S:1:pos:R:3 pbc="T T T"
Na 0.000 0.000 0.000
Na 2.955 1.656 0.000
Na 2.955 -1.656 0.000
Na 5.910 0.000 0.000
Dy -1.864 0.000 2.809
Dy 1.091 1.656 2.809
Dy 1.091 -1.656 2.809
Pt 4.046 0.000 2.809
O 0.083 0.000 3.987
O 1.813 0.000 1.437
O 3.118 1.542 3.959
O 4.973 1.542 1.660
O 3.118 -1.542 3.959
O 4.973 -1.542 1.660
O 6.278 0.000 4.181
O 8.008 0.000 1.632
```

Largest 10 diffraction maxima, in order of falling intensity, 15 to 90 degrees two-theta:
5.619 Å, I = 100.0; 2.751 Å, I = 58.6; 2.363 Å, I = 49.9; 2.839 Å, I = 32.3; 2.462 Å, I = 28.1; 2.809 Å, I = 21.3; 2.927 Å, I = 18.7; 1.718 Å, I = 17.5; 1.692 Å, I = 17.2; 2.214 Å, I = 15.0